No. 1
Li2Cd2InGaPd2: simulated powder diffractogram (CuKα), based on a PBE-relaxed structure.
Neutral-atom scattering factors, no anomalous dispersion.

Peak list (10 most intense, 2θ = 5–70°, low angle first)
3.730 Å, 23.86°, I 40
3.254 Å, 27.41°, I 6
3.218 Å, 27.72°, I 12
2.288 Å, 39.37°, I 100
2.276 Å, 39.60°, I 50
1.958 Å, 46.36°, I 6
1.943 Å, 46.76°, I 13
1.627 Å, 56.56°, I 8
1.609 Å, 57.25°, I 16
1.484 Å, 62.57°, I 5

Structure:
Lattice parameters (Å, degrees): 4.552 4.552 6.509 90.00 90.00 90.00
Space group P-4m2 (No. 115)
Symmetry-distinct sites (fractional):
Li (0.000, 0.500, 0.234) (multiplicity 2)
Cd (0.000, 0.000, 0.000) (multiplicity 1)
Cd (0.500, 0.500, 0.500) (multiplicity 1)
In (0.000, 0.000, 0.500) (multiplicity 1)
Ga (0.500, 0.500, 0.000) (multiplicity 1)
Pd (0.000, 0.500, 0.763) (multiplicity 2)

***

No. 2
Tb3Cd3InGa2: simulated powder diffractogram (CuKα), based on a PBE-relaxed structure.
Neutral-atom scattering factors, no anomalous dispersion.

Peak list (10 most intense, 2θ = 5–70°, low angle first)
3.176 Å, 28.10°, I 17
2.842 Å, 31.48°, I 65
2.594 Å, 34.58°, I 100
2.400 Å, 37.47°, I 35
2.248 Å, 40.11°, I 28
2.117 Å, 42.71°, I 22
1.834 Å, 49.71°, I 12
1.641 Å, 56.06°, I 37
1.386 Å, 67.57°, I 38
1.355 Å, 69.33°, I 13

Structure:
Lattice parameters (Å, degrees): 7.3336 7.3336 4.4960 90.00 90.00 120.00
Space group P-62m (No. 189)
Symmetry-distinct sites (fractional):
Tb (0.0000, 0.5642, 0.0000) (multiplicity 3)
Cd (0.0000, 0.2552, 0.5000) (multiplicity 3)
In (0.0000, 0.0000, 0.0000) (multiplicity 1)
Ga (0.3333, 0.6667, 0.5000) (multiplicity 2)

***

No. 3
Tb2TmCd3InGa2: simulated powder diffractogram (CuKα), based on a PBE-relaxed structure.
Neutral-atom scattering factors, no anomalous dispersion.

Peak list (10 most intense, 2θ = 5–70°, low angle first)
3.164 Å, 28.20°, I 18
2.839 Å, 31.52°, I 63
2.590 Å, 34.63°, I 100
2.394 Å, 37.57°, I 23
2.254 Å, 40.00°, I 28
2.113 Å, 42.80°, I 14
1.641 Å, 56.03°, I 14
1.385 Å, 67.63°, I 12
1.381 Å, 67.88°, I 13
1.357 Å, 69.21°, I 13

Structure:
Lattice parameters (Å, degrees): 4.508 12.629 7.324 90.00 90.00 90.00
Space group Amm2 (No. 38)
Symmetry-distinct sites (fractional):
Tb (0.000, 0.219, 0.000) (multiplicity 4)
Tm (0.000, 0.000, 0.344) (multiplicity 2)
Cd (0.500, 0.000, 0.037) (multiplicity 2)
Cd (0.500, 0.127, 0.653) (multiplicity 4)
In (0.000, 0.000, 0.780) (multiplicity 2)
Ga (0.500, 0.166, 0.281) (multiplicity 4)

***

No. 4
LaCd2GaPt: simulated powder diffractogram (CuKα), based on a PBE-relaxed structure.
Neutral-atom scattering factors, no anomalous dispersion.

Peak list (10 most intense, 2θ = 5–70°, low angle first)
6.260 Å, 14.15°, I 12
4.034 Å, 22.03°, I 11
2.982 Å, 29.97°, I 28
2.715 Å, 32.99°, I 100
2.171 Å, 41.60°, I 24
2.159 Å, 41.84°, I 36
2.131 Å, 42.42°, I 44
1.734 Å, 52.81°, I 12
1.516 Å, 61.11°, I 23
1.507 Å, 61.55°, I 14

Structure:
Lattice parameters (Å, degrees): 4.261 4.261 12.520 90.00 90.00 90.00
Space group I4mm (No. 107)
Symmetry-distinct sites (fractional):
La (0.000, 0.000, 0.000) (multiplicity 2)
Cd (0.000, 0.500, 0.241) (multiplicity 4)
Ga (0.000, 0.000, 0.387) (multiplicity 2)
Pt (0.000, 0.000, 0.585) (multiplicity 2)

***

No. 5
Li4CdGa3: simulated powder diffractogram (CuKα), based on a PBE-relaxed structure.
Neutral-atom scattering factors, no anomalous dispersion.

Peak list (10 most intense, 2θ = 5–70°, low angle first)
4.408 Å, 20.15°, I 3
3.612 Å, 24.65°, I 100
2.216 Å, 40.72°, I 66
2.204 Å, 40.95°, I 33
1.896 Å, 47.98°, I 16
1.881 Å, 48.38°, I 31
1.575 Å, 58.60°, I 5
1.558 Å, 59.30°, I 11
1.437 Å, 64.87°, I 12
1.431 Å, 65.20°, I 6

Structure:
Lattice parameters (Å, degrees): 4.408 4.408 6.301 90.00 90.00 90.00
Space group P-4m2 (No. 115)
Symmetry-distinct sites (fractional):
Li (0.000, 0.000, 0.000) (multiplicity 1)
Li (0.000, 0.500, 0.741) (multiplicity 2)
Li (0.500, 0.500, 0.500) (multiplicity 1)
Cd (0.500, 0.500, 0.000) (multiplicity 1)
Ga (0.000, 0.000, 0.500) (multiplicity 1)
Ga (0.000, 0.500, 0.259) (multiplicity 2)

***

No. 6
Li8Cd2Ga: simulated powder diffractogram (CuKα), based on a PBE-relaxed structure.
Neutral-atom scattering factors, no anomalous dispersion.

Peak list (10 most intense, 2θ = 5–70°, low angle first)
10.295 Å, 8.59°, I 20
3.911 Å, 22.74°, I 34
3.820 Å, 23.29°, I 100
3.511 Å, 25.37°, I 28
3.432 Å, 25.96°, I 29
2.940 Å, 30.41°, I 27
2.287 Å, 39.40°, I 47
2.276 Å, 39.60°, I 47
1.955 Å, 46.44°, I 15
1.897 Å, 47.96°, I 32

Structure:
Lattice parameters (Å, degrees): 7.889 4.550 10.620 90.00 104.20 90.00
Space group C2/m (No. 12)
Symmetry-distinct sites (fractional):
Li (0.087, 0.000, 0.260) (multiplicity 4)
Li (0.139, 0.500, 0.917) (multiplicity 4)
Li (0.180, 0.000, 0.540) (multiplicity 4)
Li (0.225, 0.500, 0.175) (multiplicity 4)
Cd (0.048, 0.500, 0.644) (multiplicity 4)
Ga (0.000, 0.000, 0.000) (multiplicity 2)

***

No. 7
Li2CdGa: simulated powder diffractogram (CuKα), based on a PBE-relaxed structure.
Neutral-atom scattering factors, no anomalous dispersion.

Peak list (10 most intense, 2θ = 5–70°, low angle first)
3.711 Å, 23.98°, I 74
3.676 Å, 24.21°, I 79
2.273 Å, 39.64°, I 100
2.254 Å, 40.00°, I 25
2.223 Å, 40.58°, I 24
1.961 Å, 46.29°, I 14
1.956 Å, 46.42°, I 11
1.922 Å, 47.31°, I 25
1.907 Å, 47.69°, I 23
1.583 Å, 58.30°, I 16

Structure:
Lattice parameters (Å, degrees): 4.446 4.508 6.534 90.00 90.00 90.00
Space group Pmma (No. 51)
Symmetry-distinct sites (fractional):
Li (0.250, 0.000, 0.114) (multiplicity 2)
Li (0.250, 0.500, 0.365) (multiplicity 2)
Cd (0.250, 0.000, 0.638) (multiplicity 2)
Ga (0.250, 0.500, 0.887) (multiplicity 2)

***

No. 8
Li2MgCdGa2Ni2: simulated powder diffractogram (CuKα), based on a PBE-relaxed structure.
Neutral-atom scattering factors, no anomalous dispersion.

Peak list (10 most intense, 2θ = 5–70°, low angle first)
6.083 Å, 14.56°, I 9
4.285 Å, 20.73°, I 9
3.503 Å, 25.43°, I 21
3.042 Å, 29.36°, I 5
3.030 Å, 29.48°, I 10
2.712 Å, 33.03°, I 7
2.145 Å, 42.13°, I 100
1.828 Å, 49.90°, I 6
1.521 Å, 60.92°, I 5
1.515 Å, 61.18°, I 10

Structure:
Lattice parameters (Å, degrees): 4.285 4.285 6.083 90.00 90.00 90.00
Space group P-4m2 (No. 115)
Symmetry-distinct sites (fractional):
Li (0.000, 0.500, 0.249) (multiplicity 2)
Mg (0.500, 0.500, 0.500) (multiplicity 1)
Cd (0.000, 0.000, 0.000) (multiplicity 1)
Ga (0.000, 0.000, 0.500) (multiplicity 1)
Ga (0.500, 0.500, 0.000) (multiplicity 1)
Ni (0.000, 0.500, 0.742) (multiplicity 2)

***

No. 9
Li2Cd2Ga2PdPt: simulated powder diffractogram (CuKα), based on a PBE-relaxed structure.
Neutral-atom scattering factors, no anomalous dispersion.

Peak list (10 most intense, 2θ = 5–70°, low angle first)
6.334 Å, 13.98°, I 3
4.484 Å, 19.80°, I 3
3.660 Å, 24.32°, I 48
3.170 Å, 28.15°, I 1
2.835 Å, 31.55°, I 2
2.587 Å, 34.68°, I 1
2.241 Å, 40.24°, I 100
1.911 Å, 47.58°, I 24
1.585 Å, 58.22°, I 17
1.454 Å, 64.02°, I 10

Structure:
Lattice parameters (Å, degrees): 4.484 4.484 6.334 90.00 90.00 90.00
Space group P-4m2 (No. 115)
Symmetry-distinct sites (fractional):
Li (0.000, 0.000, 0.000) (multiplicity 1)
Li (0.500, 0.500, 0.500) (multiplicity 1)
Cd (0.000, 0.500, 0.249) (multiplicity 2)
Ga (0.000, 0.500, 0.750) (multiplicity 2)
Pd (0.500, 0.500, 0.000) (multiplicity 1)
Pt (0.000, 0.000, 0.500) (multiplicity 1)

***

No. 10
Li2Cd2GaSiPd2: simulated powder diffractogram (CuKα), based on a PBE-relaxed structure.
Neutral-atom scattering factors, no anomalous dispersion.

Peak list (10 most intense, 2θ = 5–70°, low angle first)
4.473 Å, 19.85°, I 1
3.650 Å, 24.38°, I 48
3.161 Å, 28.23°, I 5
2.828 Å, 31.64°, I 1
2.235 Å, 40.35°, I 100
1.906 Å, 47.71°, I 23
1.825 Å, 49.97°, I 1
1.582 Å, 58.34°, I 11
1.579 Å, 58.46°, I 5
1.450 Å, 64.21°, I 9

Structure:
Lattice parameters (Å, degrees): 4.473 4.473 6.315 90.00 90.00 90.00
Space group P-4m2 (No. 115)
Symmetry-distinct sites (fractional):
Li (0.000, 0.500, 0.245) (multiplicity 2)
Cd (0.000, 0.000, 0.000) (multiplicity 1)
Cd (0.500, 0.500, 0.500) (multiplicity 1)
Ga (0.000, 0.000, 0.500) (multiplicity 1)
Si (0.500, 0.500, 0.000) (multiplicity 1)
Pd (0.000, 0.500, 0.761) (multiplicity 2)

***

No. 11
Li2Cd2GaSnPd2: simulated powder diffractogram (CuKα), based on a PBE-relaxed structure.
Neutral-atom scattering factors, no anomalous dispersion.

Peak list (10 most intense, 2θ = 5–70°, low angle first)
3.733 Å, 23.83°, I 39
3.247 Å, 27.47°, I 6
3.226 Å, 27.65°, I 12
2.289 Å, 39.37°, I 100
2.281 Å, 39.50°, I 50
1.956 Å, 46.43°, I 6
1.947 Å, 46.66°, I 13
1.867 Å, 48.79°, I 5
1.624 Å, 56.69°, I 8
1.613 Å, 57.10°, I 17

Structure:
Lattice parameters (Å, degrees): 4.562 4.562 6.495 90.00 90.00 90.00
Space group P-4m2 (No. 115)
Symmetry-distinct sites (fractional):
Li (0.000, 0.500, 0.234) (multiplicity 2)
Cd (0.000, 0.000, 0.000) (multiplicity 1)
Cd (0.500, 0.500, 0.500) (multiplicity 1)
Ga (0.500, 0.500, 0.000) (multiplicity 1)
Sn (0.000, 0.000, 0.500) (multiplicity 1)
Pd (0.000, 0.500, 0.762) (multiplicity 2)

***

No. 12
Li4CdGaPt2: simulated powder diffractogram (CuKα), based on a PBE-relaxed structure.
Neutral-atom scattering factors, no anomalous dispersion.

Peak list (10 most intense, 2θ = 5–70°, low angle first)
3.586 Å, 24.83°, I 100
3.071 Å, 29.08°, I 8
2.565 Å, 34.98°, I 5
2.209 Å, 40.86°, I 52
2.172 Å, 41.59°, I 27
1.904 Å, 47.76°, I 14
1.858 Å, 49.04°, I 32
1.536 Å, 60.27°, I 9
1.432 Å, 65.15°, I 11
1.412 Å, 66.21°, I 7

Structure:
Lattice parameters (Å, degrees): 4.343 4.343 6.357 90.00 90.00 90.00
Space group P-4m2 (No. 115)
Symmetry-distinct sites (fractional):
Li (0.000, 0.000, 0.000) (multiplicity 1)
Li (0.000, 0.500, 0.735) (multiplicity 2)
Li (0.500, 0.500, 0.500) (multiplicity 1)
Cd (0.500, 0.500, 0.000) (multiplicity 1)
Ga (0.000, 0.000, 0.500) (multiplicity 1)
Pt (0.000, 0.500, 0.279) (multiplicity 2)